No. 1
The following is a simulated XRD peak list of TcW3Cl. It was derived from a structure optimized by DFT (GGA-PBE), using copper Kα.
Peak positions follow from Bragg's law for the DFT cell and can differ from measured ones.

Principal peaks in the range 2θ = 10–90°, most intense first:
hkl 1 1 1, 35.61 deg, rel. 100.0
hkl 2 0 0, 41.35 deg, rel. 61.8
hkl 2 2 0, 59.91 deg, rel. 41.4
hkl 3 1 1, 71.68 deg, rel. 40.0
hkl 2 2 2, 75.40 deg, rel. 14.1
hkl 1 0 0, 20.34 deg, rel. 11.3
hkl 4 0 0, 89.84 deg, rel. 7.1
hkl 2 1 0, 46.50 deg, rel. 5.1
hkl 3 0 0, 63.96 deg, rel. 2.5
hkl 1 1 0, 28.91 deg, rel. 1.2
hkl 3 2 0, 79.06 deg, rel. 1.1
hkl 2 1 1, 51.24 deg, rel. 0.7

abc: 4.367 4.367 4.367
angles: 90.00 90.00 90.00
Space group Pm-3m (No. 221)
Inequivalent atoms, fractional coordinates:
Tc  0.000  0.000  0.000 [1 per cell]
W  0.000  0.500  0.500 [3 per cell]
Cl  0.500  0.500  0.500 [1 per cell]


No. 2
The following is a simulated XRD peak list of Nd6Dy4Y. It was derived from a structure optimized by DFT (GGA-PBE), using copper Kα.
Peak positions follow from Bragg's law for the DFT cell and can differ from measured ones.

Principal peaks in the range 2θ = 10–90°, most intense first:
hkl 1 1 4, 30.98 deg, rel. 100.0
hkl 2 0 2, 26.94 deg, rel. 51.7
hkl 2 1 1, 27.18 deg, rel. 49.9
hkl 2 2 0, 33.55 deg, rel. 42.9
hkl 2 1 3, 32.96 deg, rel. 32.9
hkl 4 2 2, 56.07 deg, rel. 26.7
hkl 3 1 2, 39.96 deg, rel. 25.3
hkl 2 0 0, 23.55 deg, rel. 21.7
hkl 3 0 1, 36.27 deg, rel. 19.5
hkl 2 0 8, 59.17 deg, rel. 18.8
hkl 1 0 1, 13.38 deg, rel. 17.9
hkl 3 1 0, 37.65 deg, rel. 17.7

abc: 7.555 7.555 13.720
angles: 90.00 90.00 90.00
Space group I-42m (No. 121)
Inequivalent atoms, fractional coordinates:
Nd  0.000  0.500  0.000 [4 per cell]
Nd  0.227  0.227  0.189 [8 per cell]
Dy  0.165  0.165  0.419 [8 per cell]
Y  0.000  0.000  0.000 [2 per cell]


No. 3
The following is a simulated XRD peak list of Pm6Y8Er. It was derived from a structure optimized by DFT (GGA-PBE), using copper Kα.
Peak positions follow from Bragg's law for the DFT cell and can differ from measured ones.

Principal peaks in the range 2θ = 10–90°, most intense first:
hkl 1 1 2, 32.99 deg, rel. 100.0
hkl 3 -1 1, 31.80 deg, rel. 93.9
hkl 3 0 0, 32.66 deg, rel. 71.2
hkl 0 2 1, 25.50 deg, rel. 43.2
hkl 3 2 1, 50.27 deg, rel. 30.7
hkl 1 2 0, 28.71 deg, rel. 30.4
hkl 0 1 2, 29.09 deg, rel. 19.4
hkl 6 -1 1, 64.64 deg, rel. 17.3
hkl 0 0 1, 13.38 deg, rel. 15.9
hkl 0 4 2, 52.38 deg, rel. 15.0
hkl 1 2 2, 39.78 deg, rel. 11.8
hkl 4 1 1, 52.84 deg, rel. 11.2

abc: 9.4990 9.4990 6.6184
angles: 90.00 90.00 120.00
Space group P-3 (No. 147)
Inequivalent atoms, fractional coordinates:
Pm  0.0814  0.4053  0.1001 [6 per cell]
Y  0.0194  0.6944  0.3905 [6 per cell]
Y  0.3333  0.6667  0.6571 [2 per cell]
Er  0.0000  0.0000  0.0000 [1 per cell]